(1)
Diffraction record for PrSmCo17. The powder XRD pattern is simulated, not measured: it uses a cell relaxed with GGA-PBE and Cu Kα X-rays.
Lines closer than 0.1° are merged.

Largest 10 diffraction maxima, low angle first, 2θ = 15–90°:
2θ 30.7, 2.914 Å, I = 38; 2θ 37.2, 2.417 Å, I = 40; 2θ 38.6, 2.331 Å, I = 34; 2θ 43.2, 2.093 Å, I = 68; 2θ 43.6, 2.077 Å, I = 100; 2θ 44.5, 2.036 Å, I = 19; 2θ 44.7, 2.029 Å, I = 33; 2θ 49.0, 1.860 Å, I = 25; 2θ 63.1, 1.474 Å, I = 18; 2θ 63.9, 1.457 Å, I = 17

Structural model:
```
PrSmCo17
1.0
4.187 2.417 4.057
-4.187 2.417 4.057
0.000 -4.834 4.057
Pr Sm Co
1 1 17
Direct
0.000 0.000 0.000
0.311 0.311 0.311
0.155 0.654 0.654
0.312 0.312 0.804
0.312 0.804 0.312
0.370 0.654 0.940
0.370 0.940 0.654
0.506 0.998 0.998
0.559 0.559 0.559
0.654 0.155 0.654
0.654 0.370 0.940
0.654 0.654 0.155
0.654 0.940 0.370
0.750 0.750 0.750
0.804 0.312 0.312
0.940 0.370 0.654
0.940 0.654 0.370
0.998 0.506 0.998
0.998 0.998 0.506
```

***

(2)
Diffraction record for TaBeB2. The powder XRD pattern is simulated, not measured: it uses a cell relaxed with GGA-PBE and Cu Kα X-rays.
Lines closer than 0.1° are merged.

Largest 10 diffraction maxima, low angle first, 2θ = 15–90°:
2θ 19.8, 4.492 Å, I = 31; 2θ 27.0, 3.302 Å, I = 100; 2θ 27.3, 3.263 Å, I = 30; 2θ 30.0, 2.978 Å, I = 54; 2θ 31.2, 2.867 Å, I = 57; 2θ 35.5, 2.532 Å, I = 39; 2θ 39.3, 2.292 Å, I = 72; 2θ 43.8, 2.067 Å, I = 35; 2θ 44.4, 2.038 Å, I = 68; 2θ 46.4, 1.959 Å, I = 42

Structural model:
```
TaBeB2
1.0
10.616 0.000 0.000
0.000 3.183 0.000
0.000 0.000 8.436
Ta Be B
8 8 16
Direct
0.061 0.250 0.240
0.196 0.750 0.967
0.304 0.250 0.467
0.439 0.750 0.740
0.561 0.250 0.260
0.696 0.750 0.533
0.804 0.250 0.033
0.939 0.750 0.760
0.056 0.250 0.553
0.182 0.750 0.664
0.318 0.250 0.164
0.444 0.750 0.053
0.556 0.250 0.947
0.682 0.750 0.836
0.818 0.250 0.336
0.944 0.750 0.447
0.022 0.250 0.959
0.109 0.250 0.783
0.132 0.750 0.437
0.228 0.750 0.263
0.272 0.250 0.763
0.368 0.250 0.937
0.391 0.750 0.283
0.478 0.750 0.459
0.522 0.250 0.541
0.609 0.250 0.717
0.632 0.750 0.063
0.728 0.750 0.237
0.772 0.250 0.737
0.868 0.250 0.563
0.891 0.750 0.217
0.978 0.750 0.041
```

***

(3)
Diffraction record for KRb2Br7. The powder XRD pattern is simulated, not measured: it uses a cell relaxed with GGA-PBE and Cu Kα X-rays.
Lines closer than 0.1° are merged.

Largest 10 diffraction maxima, low angle first, 2θ = 15–90°:
2θ 21.3, 4.163 Å, I = 11; 2θ 25.8, 3.448 Å, I = 100; 2θ 29.0, 3.077 Å, I = 81; 2θ 31.7, 2.826 Å, I = 29; 2θ 41.5, 2.176 Å, I = 30; 2θ 43.5, 2.082 Å, I = 47; 2θ 49.5, 1.840 Å, I = 33; 2θ 53.1, 1.724 Å, I = 26; 2θ 68.1, 1.376 Å, I = 13; 2θ 77.1, 1.237 Å, I = 17

Structural model:
```
KRb2Br7
1.0
-4.352 4.352 5.652
4.352 -4.352 5.652
4.352 4.352 -5.652
K Rb Br
1 2 7
Direct
0.000 0.000 0.000
0.250 0.750 0.500
0.750 0.250 0.500
0.253 0.253 0.506
0.253 0.747 0.000
0.277 0.277 0.000
0.500 0.500 0.000
0.723 0.723 0.000
0.747 0.253 0.000
0.747 0.747 0.494
```

***

(4)
Diffraction record for Ba2ZnHg12. The powder XRD pattern is simulated, not measured: it uses a cell relaxed with GGA-PBE and Cu Kα X-rays.
Lines closer than 0.1° are merged.

Largest 10 diffraction maxima, low angle first, 2θ = 15–90°:
2θ 26.9, 3.314 Å, I = 31; 2θ 27.4, 3.253 Å, I = 100; 2θ 32.4, 2.767 Å, I = 33; 2θ 35.0, 2.560 Å, I = 27; 2θ 35.2, 2.551 Å, I = 41; 2θ 35.9, 2.498 Å, I = 31; 2θ 36.4, 2.469 Å, I = 72; 2θ 39.8, 2.267 Å, I = 77; 2θ 64.7, 1.441 Å, I = 37; 2θ 67.7, 1.383 Å, I = 22

Structural model:
```
Ba2ZnHg12
1.0
6.985 0.000 0.000
0.000 6.985 0.000
0.000 0.000 17.880
Ba Zn Hg
4 2 24
Direct
0.250 0.750 0.242
0.250 0.750 0.758
0.750 0.250 0.242
0.750 0.250 0.758
0.250 0.750 0.000
0.750 0.250 0.000
0.002 0.502 0.084
0.002 0.998 0.916
0.090 0.590 0.431
0.090 0.910 0.569
0.250 0.250 0.182
0.250 0.250 0.346
0.250 0.250 0.654
0.250 0.250 0.818
0.410 0.590 0.569
0.410 0.910 0.431
0.498 0.502 0.916
0.498 0.998 0.084
0.502 0.002 0.916
0.502 0.498 0.084
0.590 0.090 0.569
0.590 0.410 0.431
0.750 0.750 0.182
0.750 0.750 0.346
0.750 0.750 0.654
0.750 0.750 0.818
0.910 0.090 0.431
0.910 0.410 0.569
0.998 0.002 0.084
0.998 0.498 0.916
```

***

(5)
Diffraction record for CsSbI2O8. The powder XRD pattern is simulated, not measured: it uses a cell relaxed with GGA-PBE and Cu Kα X-rays.
Lines closer than 0.1° are merged.

Largest 10 diffraction maxima, low angle first, 2θ = 15–90°:
2θ 23.5, 3.786 Å, I = 100; 2θ 25.8, 3.456 Å, I = 36; 2θ 28.4, 3.144 Å, I = 80; 2θ 29.2, 3.056 Å, I = 22; 2θ 31.3, 2.855 Å, I = 32; 2θ 41.0, 2.203 Å, I = 24; 2θ 46.1, 1.968 Å, I = 18; 2θ 51.3, 1.781 Å, I = 16; 2θ 54.0, 1.698 Å, I = 16; 2θ 58.7, 1.573 Å, I = 21

Structural model:
```
CsSbI2O8
1.0
5.769 -2.855 0.000
5.769 2.855 0.000
-2.432 0.000 6.813
Cs Sb I O
1 1 2 8
Direct
0.000 0.000 0.000
0.500 0.500 0.500
0.220 0.220 0.661
0.780 0.780 0.339
0.139 0.638 0.316
0.179 0.179 0.399
0.362 0.861 0.684
0.409 0.409 0.688
0.591 0.591 0.312
0.638 0.139 0.316
0.821 0.821 0.601
0.861 0.362 0.684
```

***

(6)
Diffraction record for BaZn6Au4. The powder XRD pattern is simulated, not measured: it uses a cell relaxed with GGA-PBE and Cu Kα X-rays.
Lines closer than 0.1° are merged.

Largest 10 diffraction maxima, low angle first, 2θ = 15–90°:
2θ 24.6, 3.621 Å, I = 45; 2θ 27.2, 3.278 Å, I = 57; 2θ 31.3, 2.853 Å, I = 71; 2θ 34.3, 2.616 Å, I = 90; 2θ 36.3, 2.478 Å, I = 62; 2θ 41.6, 2.172 Å, I = 51; 2θ 42.0, 2.152 Å, I = 100; 2θ 46.5, 1.952 Å, I = 65; 2θ 48.1, 1.892 Å, I = 36; 2θ 56.3, 1.633 Å, I = 35

Structural model:
```
BaZn6Au4
1.0
7.570 0.000 0.000
-3.785 6.556 0.000
0.000 0.000 4.343
Ba Zn Au
1 6 4
Direct
0.000 0.000 0.000
0.209 0.418 0.500
0.209 0.791 0.500
0.538 0.076 0.000
0.538 0.462 0.000
0.582 0.791 0.500
0.924 0.462 0.000
0.333 0.667 0.000
0.401 0.200 0.500
0.800 0.200 0.500
0.800 0.599 0.500
```

***

(7)
Diffraction record for Zr2Si3Ni2. The powder XRD pattern is simulated, not measured: it uses a cell relaxed with GGA-PBE and Cu Kα X-rays.
Lines closer than 0.1° are merged.

Largest 10 diffraction maxima, low angle first, 2θ = 15–90°:
2θ 31.3, 2.854 Å, I = 17; 2θ 35.2, 2.552 Å, I = 38; 2θ 36.6, 2.456 Å, I = 100; 2θ 38.2, 2.355 Å, I = 100; 2θ 39.8, 2.267 Å, I = 27; 2θ 43.4, 2.084 Å, I = 22; 2θ 46.8, 1.940 Å, I = 41; 2θ 47.5, 1.914 Å, I = 43; 2θ 62.5, 1.485 Å, I = 21; 2θ 68.9, 1.362 Å, I = 27

Structural model:
```
Zr2Si3Ni2
1.0
1.940 -8.335 0.000
1.940 8.335 0.000
0.000 0.000 6.462
Zr Si Ni
4 6 4
Direct
0.052 0.948 0.750
0.154 0.846 0.250
0.846 0.154 0.750
0.948 0.052 0.250
0.222 0.778 0.750
0.435 0.565 0.563
0.435 0.565 0.937
0.565 0.435 0.063
0.565 0.435 0.437
0.778 0.222 0.250
0.307 0.693 0.054
0.307 0.693 0.446
0.693 0.307 0.554
0.693 0.307 0.946
```

***

(8)
Diffraction record for TbY3Rh8. The powder XRD pattern is simulated, not measured: it uses a cell relaxed with GGA-PBE and Cu Kα X-rays.
Lines closer than 0.1° are merged.

Largest 10 diffraction maxima, low angle first, 2θ = 15–90°:
2θ 20.3, 4.365 Å, I = 6; 2θ 33.5, 2.673 Å, I = 27; 2θ 39.5, 2.280 Å, I = 100; 2θ 41.4, 2.183 Å, I = 40; 2θ 48.1, 1.890 Å, I = 5; 2θ 59.9, 1.543 Å, I = 10; 2θ 64.0, 1.455 Å, I = 31; 2θ 70.5, 1.337 Å, I = 27; 2θ 83.9, 1.153 Å, I = 11; 2θ 85.1, 1.140 Å, I = 14

Structural model:
```
TbY3Rh8
1.0
2.674 1.544 8.727
-2.674 1.544 8.727
0.000 -3.087 8.727
Tb Y Rh
1 3 8
Direct
0.000 0.000 0.000
0.125 0.125 0.125
0.500 0.500 0.500
0.625 0.625 0.625
0.063 0.063 0.563
0.063 0.563 0.063
0.063 0.563 0.563
0.313 0.313 0.313
0.563 0.063 0.063
0.563 0.063 0.563
0.563 0.563 0.063
0.813 0.813 0.813
```